Structure and calculated X-ray powder pattern of CrIn2GaSe6 (a PBE-relaxed structure; Cu Ka).
Neutral-atom scattering factors, no anomalous dispersion.

```
20
Lattice="6.4682 -5.8645 0.0000 6.4682 5.8645 0.0000 -1.1409 0.0000 6.6761" Properties=species:S:1:pos:R:3 pbc="T T T"
Cr 5.6125 4.8812 5.0071
Cr 6.1830 -4.8812 1.6690
In 3.3212 1.1335 4.7424
In 3.8917 -1.1335 1.4043
In 7.9038 1.1335 5.2718
In 8.4743 -1.1335 1.9338
Ga 6.1830 2.9189 1.6690
Ga 5.6125 -2.9189 5.0071
Se 0.6429 0.9380 4.0783
Se 3.9054 3.2937 6.0766
Se 1.2134 -0.9380 0.7402
Se 4.2568 1.2733 2.3238
Se 7.3197 3.2937 3.9375
Se 3.6863 -1.2733 5.6618
Se 8.1092 1.2733 1.0143
Se 4.4758 -3.2937 2.7386
Se 7.5387 -1.2733 4.3524
Se 10.5821 0.9380 5.9359
Se 7.8901 -3.2937 0.5995
Se 11.1526 -0.9380 2.5978
```

Top 10 peaks for 2θ from 5° to 70°, low angle first:
3.996 Å, 2θ = 22.2°, intensity 44
3.450 Å, 2θ = 25.8°, intensity 20
3.334 Å, 2θ = 26.7°, intensity 45
3.189 Å, 2θ = 28.0°, intensity 68
2.759 Å, 2θ = 32.4°, intensity 24
2.383 Å, 2θ = 37.8°, intensity 17
2.124 Å, 2θ = 42.6°, intensity 23
2.054 Å, 2θ = 44.1°, intensity 19
1.955 Å, 2θ = 46.4°, intensity 100
1.948 Å, 2θ = 46.6°, intensity 26